1.
For Tl4As3Se, a GGA-PBE-relaxed structure gives the theoretical powder XRD pattern in this record (λ = 1.5418 Å (Cu Kα)).
No peak broadening, texture or thermal motion is included.

Structural model:
Unit cell a=7.893 b=7.893 c=6.456 alpha=114.13 beta=114.13 gamma=48.28
Element x y z (fractional)
Tl 0.129 0.129 0.373
Tl 0.356 0.386 0.112
Tl 0.614 0.644 0.888
Tl 0.871 0.871 0.627
As 0.241 0.759 0.000
As 0.493 0.007 0.751
As 0.993 0.507 0.249
Se 0.741 0.259 0.500

Most intense lines, 10° ≤ 2θ ≤ 80°, low angle first:
2theta, d [Å], Rel. int.
23.89, 3.724, 100
27.66, 3.225, 16
39.51, 2.281, 68
46.70, 1.945, 50
62.79, 1.480, 21
71.64, 1.317, 16
71.74, 1.316, 8
76.73, 1.242, 11


2.
For Tm4As3Se, a GGA-PBE-relaxed structure gives the theoretical powder XRD pattern in this record (λ = 1.5418 Å (Cu Kα)).
No peak broadening, texture or thermal motion is included.

Structural model:
Unit cell a=5.729 b=5.729 c=5.729 alpha=90.00 beta=90.00 gamma=90.00
Element x y z (fractional)
Tm 0.000 0.000 0.000
Tm 0.000 0.500 0.500
Tm 0.500 0.000 0.500
Tm 0.500 0.500 0.000
As 0.000 0.000 0.500
As 0.000 0.500 0.000
As 0.500 0.000 0.000
Se 0.500 0.500 0.500

Most intense lines, 10° ≤ 2θ ≤ 80°, low angle first:
2theta, d [Å], Rel. int.
26.96, 3.307, 25
31.23, 2.864, 100
44.75, 2.025, 74
53.02, 1.727, 12
55.57, 1.654, 26
65.14, 1.432, 12
71.83, 1.314, 5
74.00, 1.281, 33